No. 1
The following is a computed PXRD pattern of MgSb. It was derived from a crystal structure in the Materials Project, relaxed with GGA-PBE, using copper Kα.

Structural model:
Unit cell a=12.260 b=3.366 c=7.831 alpha=90.00 beta=107.03 gamma=90.00
Space group Cm (No. 8)
Symmetry-distinct sites (fractional):
Mg 0.000 0.000 0.000 [2 per cell]
Mg 0.099 0.500 0.674 [2 per cell]
Mg 0.322 0.000 0.617 [2 per cell]
Sb 0.163 0.500 0.327 [2 per cell]
Sb 0.267 0.000 0.945 [2 per cell]
Sb 0.425 0.500 0.383 [2 per cell]

Largest 6 diffraction maxima, low angle first, 10° ≤ 2θ ≤ 90°:
d (Å)  Rel. int.  index
7.488  412  0 0 1
3.744  437  0 0 2
3.061  457  1 1 -1
2.886  553  1 1 1
2.551  1000  3 1 0
2.494  639  4 0 1

No. 2
The following is a computed PXRD pattern of MgSb. It was derived from a crystal structure in the Materials Project, relaxed with GGA-PBE, using copper Kα.

Structural model:
Unit cell a=3.6964 b=3.6964 c=4.3381 alpha=90.00 beta=90.00 gamma=120.00
Space group P-6m2 (No. 187)
Symmetry-distinct sites (fractional):
Mg 0.0000 0.0000 0.0000 [1 per cell]
Sb 0.6667 0.3333 0.5000 [1 per cell]

Largest 6 diffraction maxima, low angle first, 10° ≤ 2θ ≤ 90°:
d (Å)  Rel. int.  index
4.338  312  0 0 1
3.201  595  1 0 0
2.576  1000  1 0 1
1.848  214  1 1 0
1.796  222  1 0 2
1.502  183  2 0 1

No. 3
The following is a computed PXRD pattern of Mg2Sb. It was derived from a crystal structure in the Materials Project, relaxed with GGA-PBE, using copper Kα.

Structural model:
Unit cell a=3.544 b=15.420 c=5.408 alpha=90.00 beta=90.00 gamma=90.00
Space group Cmcm (No. 63)
Symmetry-distinct sites (fractional):
Mg 0.000 0.054 0.250 [4 per cell]
Mg 0.000 0.382 0.250 [4 per cell]
Sb 0.000 0.290 0.750 [4 per cell]

Largest 6 diffraction maxima, low angle first, 10° ≤ 2θ ≤ 90°:
d (Å)  Rel. int.  index
7.710  1000  0 2 0
2.914  851  1 3 0
2.704  355  0 0 2
2.568  712  1 3 1
2.322  583  0 6 1
1.983  239  1 3 2

No. 4
The following is a computed PXRD pattern of Mg2Sb. It was derived from a crystal structure in the Materials Project, relaxed with GGA-PBE, using copper Kα.

Structural model:
Unit cell a=12.839 b=3.237 c=7.306 alpha=90.00 beta=106.91 gamma=90.00
Space group C2/m (No. 12)
Symmetry-distinct sites (fractional):
Mg 0.028 0.000 0.309 [4 per cell]
Mg 0.194 0.500 0.638 [4 per cell]
Sb 0.132 0.500 0.027 [4 per cell]

Largest 6 diffraction maxima, low angle first, 10° ≤ 2θ ≤ 90°:
d (Å)  Rel. int.  index
6.990  1000  0 0 1
2.781  213  1 1 1
2.735  359  4 0 -2
2.552  252  4 0 1
2.539  475  3 1 0
2.423  412  1 1 -2

No. 5
The following is a computed PXRD pattern of Mg2Sb. It was derived from a crystal structure in the Materials Project, relaxed with GGA-PBE, using copper Kα.

Structural model:
Unit cell a=3.310 b=15.833 c=5.472 alpha=90.00 beta=90.00 gamma=90.00
Space group Cmcm (No. 63)
Symmetry-distinct sites (fractional):
Mg 0.000 0.058 0.250 [4 per cell]
Mg 0.000 0.278 0.750 [4 per cell]
Sb 0.000 0.389 0.250 [4 per cell]

Largest 6 diffraction maxima, low angle first, 10° ≤ 2θ ≤ 90°:
d (Å)  Rel. int.  index
4.501  869  0 2 1
3.958  309  0 4 0
2.736  428  0 0 2
2.495  1000  1 3 1
2.377  420  0 6 1
1.529  252  1 3 3

No. 6
The following is a computed PXRD pattern of MgSb. It was derived from a crystal structure in the Materials Project, relaxed with GGA-PBE, using copper Kα.

Structural model:
Unit cell a=3.432 b=3.432 c=4.173 alpha=90.00 beta=90.00 gamma=90.00
Space group P4/mmm (No. 123)
Symmetry-distinct sites (fractional):
Mg 0.000 0.000 0.000 [1 per cell]
Sb 0.500 0.500 0.500 [1 per cell]

Largest 6 diffraction maxima, low angle first, 10° ≤ 2θ ≤ 90°:
d (Å)  Rel. int.  index
4.173  337  0 0 1
3.432  416  1 0 0
2.650  1000  1 0 1
2.427  389  1 1 0
2.098  213  1 1 1
1.440  292  2 1 1